Entry 1:
Structure and simulated X-ray diffraction stick pattern of Li3Cu4Si2 (the GGA-PBE geometry in Alexandria; Cu Kα (λ = 1.5418 Å)).
Neutral-atom scattering factors, no anomalous dispersion.

Crystal structure
```
data_Li3Cu4Si2
_chemical_formula_sum 'Li3 Cu4 Si2'
_space_group_name_H-M_alt 'P -3 m 1'
_space_group_IT_number 164
_space_group_name_Hall '-P 3 2"'
_cell_length_a 4.0658
_cell_length_b 4.0658
_cell_length_c 7.6406
_cell_angle_alpha 90.00
_cell_angle_beta 90.00
_cell_angle_gamma 120.00
loop_
_atom_site_label
_atom_site_fract_x
_atom_site_fract_y
_atom_site_fract_z
Li1 0.0000 0.0000 0.0000
Li2 0.3333 0.6667 0.5578
Cu1 0.0000 0.0000 0.3234
Cu2 0.3333 0.6667 0.8847
Si1 0.3333 0.6667 0.2160
```

Most intense lines, 2θ = 10–90°, most intense first:
two_theta	Rel. int.
43.87	100
44.57	95
27.90	76
34.65	41
64.32	30
81.62	29

Entry 2:
Structure and simulated X-ray diffraction stick pattern of Li2CuSiTe4 (the GGA-PBE geometry in Alexandria; Cu Kα (λ = 1.5418 Å)).
Neutral-atom scattering factors, no anomalous dispersion.

Crystal structure
```
data_Li2CuSiTe4
_chemical_formula_sum 'Li4 Cu2 Si2 Te8'
_space_group_name_H-M_alt 'C 1 2 1'
_space_group_IT_number 5
_cell_length_a 9.027
_cell_length_b 11.358
_cell_length_c 6.380
_cell_angle_alpha 90.00
_cell_angle_beta 134.97
_cell_angle_gamma 90.00
loop_
_space_group_symop_operation_xyz
'x,y,z'
'-x,y,-z'
'x+1/2,y+1/2,z'
'-x+1/2,y+1/2,-z'
loop_
_atom_site_label
_atom_site_fract_x
_atom_site_fract_y
_atom_site_fract_z
Li1 0.000 0.000 0.000
Li2 0.000 0.250 0.500
Cu1 0.000 0.750 0.500
Si1 0.000 0.500 0.000
Te1 0.222 0.628 0.464
Te2 0.242 0.372 0.021
```

Most intense lines, 2θ = 10–90°, most intense first:
two_theta	Rel. int.
25.20	100
42.62	33
47.82	30
27.96	21
39.95	19
15.93	14

Entry 3:
Structure and simulated X-ray diffraction stick pattern of LiThCuSi2 (the GGA-PBE geometry in Alexandria; Cu Kα (λ = 1.5418 Å)).
Neutral-atom scattering factors, no anomalous dispersion.

Crystal structure
```
data_LiThCuSi2
_chemical_formula_sum 'Li2 Th2 Cu2 Si4'
_space_group_name_H-M_alt 'I -4 m 2'
_space_group_IT_number 119
_space_group_name_Hall 'I -4 -2'
_cell_length_a 4.128
_cell_length_b 4.128
_cell_length_c 10.056
_cell_angle_alpha 90.00
_cell_angle_beta 90.00
_cell_angle_gamma 90.00
loop_
_atom_site_label
_atom_site_fract_x
_atom_site_fract_y
_atom_site_fract_z
Li1 0.000 0.000 0.000
Th1 0.000 0.500 0.750
Cu1 0.000 0.000 0.500
Si1 0.000 0.500 0.132
```

Most intense lines, 2θ = 10–90°, most intense first:
two_theta	Rel. int.
23.29	100
35.56	88
34.47	74
56.95	35
43.87	34
17.64	31

Entry 4:
Structure and simulated X-ray diffraction stick pattern of Li6SmCu2 (the GGA-PBE geometry in Alexandria; Cu Kα (λ = 1.5418 Å)).
Neutral-atom scattering factors, no anomalous dispersion.

Crystal structure
```
data_Li6SmCu2
_chemical_formula_sum 'Li6 Sm1 Cu2'
_space_group_name_H-M_alt 'P 4/m m m'
_space_group_IT_number 123
_space_group_name_Hall '-P 4 2'
_cell_length_a 3.930
_cell_length_b 3.930
_cell_length_c 10.917
_cell_angle_alpha 90.00
_cell_angle_beta 90.00
_cell_angle_gamma 90.00
loop_
_atom_site_label
_atom_site_fract_x
_atom_site_fract_y
_atom_site_fract_z
Li1 0.000 0.000 0.000
Li2 0.000 0.500 0.222
Li3 0.500 0.500 0.000
Sm1 0.000 0.000 0.500
Cu1 0.500 0.500 0.386
```

Most intense lines, 2θ = 10–90°, most intense first:
two_theta	Rel. int.
33.27	100
33.56	80
40.23	77
32.21	69
16.24	59
36.28	51